(1)
Simulated powder X-ray diffraction pattern of Li4V2OF7 for λ = 1.5418 Å (Cu Kα), from a structure optimized by DFT (PBE+U).
No peak broadening, texture or thermal motion is included.

Cell and atoms:
```
data_Li4V2OF7
_chemical_formula_sum 'Li8 V4 O2 F14'
_space_group_name_H-M_alt 'C 1 m 1'
_space_group_IT_number 8
_space_group_name_Hall 'C -2y'
_cell_length_a 10.2961
_cell_length_b 6.1537
_cell_length_c 5.9345
_cell_angle_alpha 90.00
_cell_angle_beta 124.91
_cell_angle_gamma 90.00
loop_
_atom_site_label
_atom_site_type_symbol
_atom_site_fract_x
_atom_site_fract_y
_atom_site_fract_z
_atom_site_occupancy
Li1 Li 0.0000 0.0000 0.0000 1
Li2 Li 0.0054 0.0000 0.5083 1
Li3 Li 0.1335 0.5000 0.3999 1
Li4 Li 0.3889 0.0000 0.6343 1
V1 V 0.2576 0.2589 0.9951 1
O1 O 0.2591 0.5000 0.7988 1
F1 F 0.0173 0.2336 0.7710 1
F2 F 0.2510 0.0000 0.2299 1
F3 F 0.2507 0.0000 0.7601 1
F4 F 0.2645 0.5000 0.2562 1
F5 F 0.4978 0.2608 0.2550 1
```

Top 10 peaks for 2θ from 10° to 80°, by intensity:
d [Å]	I_rel
4.855	1000
2.136	535
2.599	347
2.111	262
4.222	234
1.504	163
1.499	160
2.967	134
1.633	123
1.538	90

---

(2)
Simulated powder X-ray diffraction pattern of LiV3O4F2 for λ = 1.5418 Å (Cu Kα), from a structure optimized by DFT (PBE+U).
No peak broadening, texture or thermal motion is included.

Cell and atoms:
```
data_LiV3O4F2
_chemical_formula_sum 'Li1 V3 O4 F2'
_space_group_name_H-M_alt 'P 1'
_space_group_IT_number 1
_space_group_name_Hall 'P 1'
_cell_length_a 5.1700
_cell_length_b 5.1763
_cell_length_c 5.5230
_cell_angle_alpha 116.13
_cell_angle_beta 92.00
_cell_angle_gamma 118.95
loop_
_atom_site_label
_atom_site_type_symbol
_atom_site_fract_x
_atom_site_fract_y
_atom_site_fract_z
_atom_site_occupancy
Li1 Li 0.0000 0.0000 0.0000 1
V1 V 0.2458 0.4478 0.6098 1
V2 V 0.5468 0.0819 0.5373 1
V3 V 0.7537 0.5088 0.1775 1
O1 O 0.1383 0.9622 0.3492 1
O2 O 0.4819 0.6255 0.3919 1
O3 O 0.6055 0.5235 0.8465 1
O4 O 0.8380 0.3000 0.3681 1
F1 F 0.3458 0.9579 0.8615 1
F2 F 0.9645 0.2836 0.8526 1
```

Top 10 peaks for 2θ from 10° to 80°, by intensity:
d [Å]	I_rel
4.287	1000
1.509	946
2.584	885
2.766	846
4.705	841
2.821	765
3.861	707
2.746	694
3.700	692
2.305	682

---

(3)
Simulated powder X-ray diffraction pattern of Li2VO2F2 for λ = 1.5418 Å (Cu Kα), from a structure optimized by DFT (PBE+U).
No peak broadening, texture or thermal motion is included.

Cell and atoms:
```
data_Li2VO2F2
_chemical_formula_sum 'Li8 V4 O8 F8'
_space_group_name_H-M_alt 'I m m a'
_space_group_IT_number 74
_space_group_name_Hall '-I 2b 2'
_cell_length_a 5.7519
_cell_length_b 5.9174
_cell_length_c 8.6496
_cell_angle_alpha 90.00
_cell_angle_beta 90.00
_cell_angle_gamma 90.00
loop_
_atom_site_label
_atom_site_type_symbol
_atom_site_fract_x
_atom_site_fract_y
_atom_site_fract_z
_atom_site_occupancy
Li1 Li 0.0000 0.0000 0.0000 1
Li2 Li 0.0000 0.2500 0.3707 1
V1 V 0.2500 0.2500 0.7500 1
O1 O 0.0000 0.0363 0.7535 1
F1 F 0.2413 0.2500 0.9846 1
```

Top 10 peaks for 2θ from 10° to 80°, by intensity:
d [Å]	I_rel
4.884	1000
2.062	358
2.478	239
1.492	235
2.162	214
4.325	179
2.959	142
2.592	134
1.599	125
1.438	100

---

(4)
Simulated powder X-ray diffraction pattern of Li5V6O5F19 for λ = 1.5418 Å (Cu Kα), from a structure optimized by DFT (PBE+U).
No peak broadening, texture or thermal motion is included.

Cell and atoms:
```
data_Li5V6O5F19
_chemical_formula_sum 'Li5 V6 O5 F19'
_space_group_name_H-M_alt 'P 1'
_space_group_IT_number 1
_space_group_name_Hall 'P 1'
_cell_length_a 5.2453
_cell_length_b 5.4297
_cell_length_c 16.0724
_cell_angle_alpha 80.67
_cell_angle_beta 89.91
_cell_angle_gamma 89.78
loop_
_atom_site_label
_atom_site_type_symbol
_atom_site_fract_x
_atom_site_fract_y
_atom_site_fract_z
_atom_site_occupancy
Li1 Li 0.0000 0.0000 0.0000 1
Li2 Li 0.0752 0.7215 0.6621 1
Li3 Li 0.4968 0.2081 0.6802 1
Li4 Li 0.5929 0.4808 0.0156 1
Li5 Li 0.8404 0.1907 0.3921 1
V1 V 0.2639 0.3323 0.8465 1
V2 V 0.2970 0.6815 0.1840 1
V3 V 0.3302 0.0425 0.5061 1
V4 V 0.7648 0.2031 0.1798 1
V5 V 0.7654 0.8768 0.8393 1
V6 V 0.8244 0.5483 0.5121 1
O1 O 0.0175 0.7817 0.5325 1
O2 O 0.0208 0.1205 0.8688 1
O3 O 0.5201 0.4158 0.1551 1
O4 O 0.5206 0.0872 0.8207 1
O5 O 0.5888 0.2288 0.4938 1
F1 F 0.0099 0.4572 0.2050 1
F2 F 0.0691 0.6313 0.8619 1
F3 F 0.0798 0.9667 0.1944 1
F4 F 0.0867 0.2836 0.5407 1
F5 F 0.1824 0.0907 0.3980 1
F6 F 0.2145 0.7494 0.0698 1
F7 F 0.2240 0.4187 0.7269 1
F8 F 0.3672 0.9401 0.6289 1
F9 F 0.3690 0.2933 0.9632 1
F10 F 0.3797 0.6284 0.2900 1
F11 F 0.5180 0.7500 0.4779 1
F12 F 0.5692 0.5759 0.8288 1
F13 F 0.5862 0.9048 0.1563 1
F14 F 0.7041 0.4623 0.6264 1
F15 F 0.7126 0.0997 0.2928 1
F16 F 0.7297 0.7878 0.9629 1
F17 F 0.8692 0.2484 0.0616 1
F18 F 0.8739 0.9112 0.7261 1
F19 F 0.8796 0.5334 0.3972 1
```

Top 10 peaks for 2θ from 10° to 80°, by intensity:
d [Å]	I_rel
3.557	1000
5.287	737
3.541	321
2.643	139
1.848	123
1.890	121
1.883	110
2.715	103
2.360	99
1.841	89